No. 1
This entry pairs a crystal structure of Tb2Te4O11 with its computed powder diffraction line list. Radiation: copper Kα. Structure: a crystal structure in the Materials Project, relaxed with PBE.
Intensities are scaled so that the largest is 100.

Main lines, by angle (2θ = 10–80°):
26.46°, rel. 100
29.61°, rel. 99
33.35°, rel. 21
46.09°, rel. 21
48.60°, rel. 18
48.78°, rel. 18

Atomic structure:
Cell: 6.780 6.780 16.384 Å, 103.94 103.94 45.02°
Atoms (fractional coordinates):
Tb 0.131 0.631 0.963
Tb 0.369 0.869 0.537
Tb 0.631 0.131 0.463
Tb 0.869 0.369 0.037
Te 0.088 0.654 0.625
Te 0.100 0.658 0.302
Te 0.342 0.900 0.198
Te 0.346 0.912 0.875
Te 0.654 0.088 0.125
Te 0.658 0.100 0.802
Te 0.900 0.342 0.698
Te 0.912 0.346 0.375
O 0.055 0.897 0.403
O 0.103 0.945 0.097
O 0.163 0.253 0.948
O 0.183 0.311 0.627
O 0.253 0.163 0.448
O 0.295 0.408 0.833
O 0.311 0.183 0.127
O 0.322 0.539 0.545
O 0.354 0.646 0.250
O 0.408 0.295 0.333
O 0.461 0.678 0.955
O 0.539 0.322 0.045
O 0.592 0.705 0.667
O 0.646 0.354 0.750
O 0.678 0.461 0.455
O 0.689 0.817 0.873
O 0.705 0.592 0.167
O 0.747 0.837 0.552
O 0.817 0.689 0.373
O 0.837 0.747 0.052
O 0.897 0.055 0.903
O 0.945 0.103 0.597

No. 2
This entry pairs a crystal structure of TbTeO3 with its computed powder diffraction line list. Radiation: copper Kα. Structure: a crystal structure in the Materials Project, relaxed with PBE.
Intensities are scaled so that the largest is 100.

Main lines, by angle (2θ = 10–80°):
29.58°, rel. 100
42.33°, rel. 29
52.49°, rel. 41
61.40°, rel. 18
69.62°, rel. 18
77.41°, rel. 6

Atomic structure:
Cell: 4.271 4.271 4.271 Å, 90.00 90.00 90.00°
Atoms (fractional coordinates):
Tb 0.000 0.000 0.000
Te 0.500 0.500 0.500
O 0.000 0.500 0.500
O 0.500 0.000 0.500
O 0.500 0.500 0.000

No. 3
This entry pairs a crystal structure of Tb2TeO2 with its computed powder diffraction line list. Radiation: copper Kα. Structure: a crystal structure in the Materials Project, relaxed with PBE.
Intensities are scaled so that the largest is 100.

Main lines, by angle (2θ = 10–80°):
31.08°, rel. 100
32.02°, rel. 39
45.92°, rel. 20
54.70°, rel. 23
56.49°, rel. 37
64.81°, rel. 11

Atomic structure:
Cell: 3.953 3.953 12.588 Å, 90.00 90.00 90.00°
Atoms (fractional coordinates):
Tb 0.000 0.000 0.162
Tb 0.000 0.000 0.838
Tb 0.500 0.500 0.338
Tb 0.500 0.500 0.662
Te 0.000 0.000 0.500
Te 0.500 0.500 0.000
O 0.000 0.500 0.250
O 0.000 0.500 0.750
O 0.500 0.000 0.250
O 0.500 0.000 0.750

No. 4
This entry pairs a crystal structure of Tb10Ti6O27 with its computed powder diffraction line list. Radiation: copper Kα. Structure: a crystal structure in the Materials Project, relaxed with PBE.
Intensities are scaled so that the largest is 100.

Main lines, by angle (2θ = 10–80°):
29.32°, rel. 53
29.75°, rel. 100
30.30°, rel. 46
34.78°, rel. 43
48.79°, rel. 28
50.07°, rel. 38

Atomic structure:
Cell: 7.469 7.469 12.618 Å, 108.00 108.00 58.58°
Atoms (fractional coordinates):
Tb 0.000 0.000 0.000
Tb 0.002 0.002 0.506
Tb 0.229 0.229 0.270
Tb 0.232 0.740 0.249
Tb 0.255 0.763 0.772
Tb 0.464 0.464 0.512
Tb 0.733 0.733 0.735
Tb 0.740 0.232 0.249
Tb 0.740 0.740 0.227
Tb 0.763 0.255 0.772
Ti 0.003 0.491 0.008
Ti 0.231 0.231 0.745
Ti 0.484 0.484 0.996
Ti 0.491 0.003 0.008
Ti 0.505 0.978 0.499
Ti 0.978 0.505 0.499
O 0.040 0.405 0.641
O 0.053 0.053 0.188
O 0.071 0.071 0.707
O 0.089 0.509 0.185
O 0.108 0.681 0.559
O 0.162 0.625 0.026
O 0.180 0.180 0.003
O 0.271 0.271 0.463
O 0.316 0.759 0.438
O 0.363 0.764 0.965
O 0.388 0.388 0.830
O 0.405 0.040 0.641
O 0.457 0.947 0.843
O 0.483 0.906 0.340
O 0.509 0.089 0.185
O 0.542 0.542 0.160
O 0.547 0.547 0.692
O 0.625 0.162 0.026
O 0.681 0.108 0.559
O 0.720 0.720 0.551
O 0.750 0.750 0.045
O 0.759 0.316 0.438
O 0.764 0.363 0.965
O 0.906 0.483 0.340
O 0.915 0.915 0.813
O 0.919 0.919 0.315
O 0.947 0.457 0.843

No. 5
This entry pairs a crystal structure of Tb5Ti5O17 with its computed powder diffraction line list. Radiation: copper Kα. Structure: a crystal structure in the Materials Project, relaxed with PBE.
Intensities are scaled so that the largest is 100.

Main lines, by angle (2θ = 10–80°):
21.48°, rel. 48
30.52°, rel. 100
32.85°, rel. 30
33.08°, rel. 31
34.43°, rel. 29
47.06°, rel. 28

Atomic structure:
Cell: 3.862 5.453 31.751 Å, 90.00 90.00 90.00°
Atoms (fractional coordinates):
Tb 0.000 0.179 0.000
Tb 0.000 0.235 0.222
Tb 0.000 0.320 0.446
Tb 0.000 0.707 0.320
Tb 0.000 0.768 0.128
Tb 0.500 0.232 0.628
Tb 0.500 0.293 0.820
Tb 0.500 0.680 0.946
Tb 0.500 0.765 0.722
Tb 0.500 0.821 0.500
Ti 0.000 0.220 0.898
Ti 0.000 0.240 0.726
Ti 0.000 0.271 0.548
Ti 0.000 0.743 0.635
Ti 0.000 0.744 0.811
Ti 0.500 0.256 0.311
Ti 0.500 0.257 0.135
Ti 0.500 0.729 0.048
Ti 0.500 0.760 0.226
Ti 0.500 0.780 0.398
O 0.000 0.040 0.842
O 0.000 0.041 0.672
O 0.000 0.045 0.499
O 0.000 0.285 0.301
O 0.000 0.300 0.145
O 0.000 0.395 0.779
O 0.000 0.426 0.605
O 0.000 0.449 0.947
O 0.000 0.520 0.857
O 0.000 0.535 0.695
O 0.000 0.539 0.511
O 0.000 0.742 0.393
O 0.000 0.777 0.055
O 0.000 0.802 0.228
O 0.000 0.897 0.754
O 0.000 0.952 0.937
O 0.000 0.955 0.591
O 0.500 0.045 0.091
O 0.500 0.048 0.437
O 0.500 0.103 0.254
O 0.500 0.198 0.728
O 0.500 0.223 0.555
O 0.500 0.258 0.893
O 0.500 0.461 0.011
O 0.500 0.465 0.195
O 0.500 0.480 0.357
O 0.500 0.551 0.447
O 0.500 0.574 0.105
O 0.500 0.605 0.279
O 0.500 0.700 0.645
O 0.500 0.715 0.801
O 0.500 0.955 0.999
O 0.500 0.959 0.172
O 0.500 0.960 0.342